1.
Diffraction record for KGdTe3Pd. The powder XRD pattern is simulated, not measured: it uses a structure optimized by DFT (GGA-PBE) and Cu Kα X-rays.

Main lines, in order of rising 2θ (10° ≤ 2θ ≤ 80°):
two_theta  intensity
10.0  100.0
22.4  9.6
26.6  33.3
28.2  28.9
30.7  44.7
37.0  47.4
40.6  24.4
40.9  21.0
41.2  11.1
45.0  9.4
50.1  11.6
59.0  15.2

Atomic structure:
```
12
Lattice="2.2239 -8.8356 0.0000 2.2239 8.8356 0.0000 0.0000 0.0000 10.1730" Properties=species:S:1:pos:R:3 pbc="T T T"
K 2.2239 4.5011 7.6297
K 2.2239 -4.5011 2.5432
Gd 0.0000 0.0000 0.0000
Gd 0.0000 0.0000 5.0865
Te 2.2239 7.0857 2.5432
Te 2.2239 2.0105 0.9055
Te 2.2239 2.0105 4.1810
Te 2.2239 -2.0105 5.9920
Te 2.2239 -2.0105 9.2675
Te 2.2239 -7.0857 7.6297
Pd 2.2239 0.1038 7.6297
Pd 2.2239 -0.1038 2.5432
```

***

2.
Diffraction record for KRbGd3. The powder XRD pattern is simulated, not measured: it uses a structure optimized by DFT (GGA-PBE) and Cu Kα X-rays.

Main lines, in order of rising 2θ (10° ≤ 2θ ≤ 80°):
two_theta  intensity
12.3  43.3
24.7  16.7
29.0  85.4
31.0  100.0
34.0  62.7
37.9  43.3
47.6  21.6
50.1  23.3
53.1  13.0
59.0  25.0
60.1  36.5
62.0  11.1

Atomic structure:
```
10
Lattice="6.3018 0.0000 0.0000 -3.1509 5.4575 0.0000 0.0000 0.0000 14.4157" Properties=species:S:1:pos:R:3 pbc="T T T"
K 0.0000 0.0000 2.5360
K 0.0000 0.0000 11.8796
Rb 0.0000 3.6384 0.0000
Rb 3.1509 1.8192 0.0000
Gd -1.0582 1.8328 5.8549
Gd -2.0927 3.6247 8.5608
Gd 2.1164 0.0000 5.8549
Gd 1.0582 1.8328 8.5608
Gd 4.1854 0.0000 8.5608
Gd 2.0927 3.6247 5.8549
```

***

3.
Diffraction record for KGdSiS4. The powder XRD pattern is simulated, not measured: it uses a structure optimized by DFT (GGA-PBE) and Cu Kα X-rays.

Main lines, in order of rising 2θ (10° ≤ 2θ ≤ 80°):
two_theta  intensity
10.7  100.0
17.1  17.7
19.7  38.1
20.2  17.2
26.9  21.7
30.6  26.4
32.4  32.2
33.5  22.3
34.7  18.6
35.0  18.4
39.9  21.9
43.8  16.4

Atomic structure:
```
14
Lattice="6.4549 0.0000 0.0000 0.0000 6.6313 0.0000 -2.5873 0.0000 8.2747" Properties=species:S:1:pos:R:3 pbc="T T T"
K 0.3597 0.0000 3.5965
K 3.5079 3.3156 4.6782
Gd -0.7093 6.5104 7.8618
Gd 4.5769 3.1947 0.4130
Si 1.3378 3.4414 1.4500
Si 2.5298 0.1257 6.8247
S -0.3318 3.4292 2.7366
S -1.8839 3.8028 7.7211
S 2.5362 1.6757 1.6760
S 1.0954 1.6581 6.4255
S 2.7722 4.9738 1.8492
S 1.3313 4.9913 6.5987
S 5.7514 0.4872 0.5536
S 4.1993 0.1135 5.5381
```

***

4.
Diffraction record for K2Gd2Sb2Se9. The powder XRD pattern is simulated, not measured: it uses a structure optimized by DFT (GGA-PBE) and Cu Kα X-rays.

Main lines, in order of rising 2θ (10° ≤ 2θ ≤ 80°):
two_theta  intensity
12.5  36.1
25.2  22.9
27.0  24.9
29.1  100.0
30.1  87.6
32.7  34.7
37.8  33.8
38.2  31.4
39.2  25.0
40.6  24.0
42.9  42.1
44.0  25.8

Atomic structure:
```
60
Lattice="11.5228 -4.2138 0.0000 11.5228 4.2138 0.0000 -11.5065 0.0000 17.9083" Properties=species:S:1:pos:R:3 pbc="T T T"
K -3.2449 2.1210 16.8973
K 2.5124 2.1050 9.9552
K 9.0268 2.1050 7.9530
K 14.7840 2.1210 1.0110
K -3.2449 -2.1210 16.8973
K 2.5124 -2.1050 9.9552
K 9.0268 -2.1050 7.9530
K 14.7840 -2.1210 1.0110
Gd -1.3463 2.1022 12.5999
Gd 7.1266 2.1037 3.6500
Gd 4.4125 2.1037 14.2582
Gd 12.8854 2.1022 5.3083
Gd -1.3463 -2.1022 12.5999
Gd 7.1266 -2.1037 3.6500
Gd 4.4125 -2.1037 14.2582
Gd 12.8854 -2.1022 5.3083
Sb -0.5261 0.0000 1.9347
Sb -5.2433 0.0000 10.8934
Sb 5.0724 0.0000 6.5494
Sb 0.6929 0.0000 15.4989
Sb 10.8462 0.0000 2.4093
Sb 6.4667 0.0000 11.3588
Sb 16.7824 0.0000 7.0148
Sb 12.0652 0.0000 15.9735
Se -7.5951 0.0000 12.1569
Se 4.4292 2.0627 5.0271
Se -7.9059 0.0000 16.1894
Se 1.8152 0.0000 3.1914
Se -0.2286 0.0000 6.5966
Se -5.5377 0.0000 15.5792
Se -2.1790 0.0000 10.6301
Se 1.3468 2.0588 13.9784
Se 11.5228 2.2845 0.0000
Se 5.7696 2.2865 8.9541
Se 2.0905 0.0000 7.3204
Se 5.5877 0.0000 2.3345
Se 10.1923 2.0588 3.9299
Se 0.1822 0.0000 11.2508
Se -1.8278 0.0000 14.6564
Se 7.9013 0.0000 1.5857
Se 7.1099 2.0627 12.8812
Se 7.5831 0.0000 5.7228
Se 3.9560 0.0000 12.1855
Se 4.4292 -2.0627 5.0271
Se 3.6378 0.0000 16.3226
Se 13.3669 0.0000 3.2519
Se 11.3569 0.0000 6.6575
Se 1.3468 -2.0588 13.9784
Se 5.9514 0.0000 15.5738
Se 9.4486 0.0000 10.5879
Se 11.5228 -2.2845 0.0000
Se 5.7696 -2.2865 8.9541
Se 10.1923 -2.0588 3.9299
Se 13.7181 0.0000 7.2782
Se 17.0768 0.0000 2.3290
Se 11.7677 0.0000 11.3117
Se 9.7239 0.0000 14.7168
Se 19.4450 0.0000 1.7189
Se 7.1099 -2.0627 12.8812
Se 19.1342 0.0000 5.7514
```

***

5.
Diffraction record for LaGdMg4Pt2. The powder XRD pattern is simulated, not measured: it uses a structure optimized by DFT (GGA-PBE) and Cu Kα X-rays.

Main lines, in order of rising 2θ (10° ≤ 2θ ≤ 80°):
two_theta  intensity
21.4  78.1
22.6  26.7
25.0  34.9
31.3  46.9
35.2  100.0
36.4  30.0
39.8  21.2
42.5  22.8
43.5  17.1
47.2  41.5
48.0  18.9
66.1  24.7

Atomic structure:
```
8
Lattice="8.3183 0.0000 0.0000 0.0000 2.1290 5.1643 0.0000 -2.1290 5.1643" Properties=species:S:1:pos:R:3 pbc="T T T"
La 0.0000 0.0000 0.0000
Gd 4.1591 0.0000 9.0582
Mg 1.6638 0.0000 2.9604
Mg 2.5665 0.0000 6.1117
Mg 5.7518 0.0000 6.1117
Mg 6.6545 0.0000 2.9604
Pt 0.0000 0.0000 7.3504
Pt 4.1591 0.0000 1.7440
```

***

6.
Diffraction record for LaGd2Ta2N6. The powder XRD pattern is simulated, not measured: it uses a structure optimized by DFT (GGA-PBE) and Cu Kα X-rays.

Main lines, in order of rising 2θ (10° ≤ 2θ ≤ 80°):
two_theta  intensity
18.2  13.7
31.3  63.1
31.9  100.0
44.8  30.1
47.6  13.2
56.0  41.5
57.2  11.4
65.2  9.6
66.6  8.9
67.4  9.3
74.1  10.9
74.4  9.0

Atomic structure:
```
11
Lattice="-2.0226 2.0226 9.7497 2.0226 -2.0226 9.7497 2.0226 2.0226 -9.7497" Properties=species:S:1:pos:R:3 pbc="T T T"
La 0.0000 0.0000 0.0000
Gd 0.0000 0.0000 3.4963
Gd 0.0000 0.0000 16.0031
Ta 0.0000 0.0000 7.6995
Ta 0.0000 0.0000 11.7999
N 2.0226 0.0000 1.7260
N 0.0000 0.0000 5.7721
N 2.0226 0.0000 8.0237
N 0.0000 2.0226 1.7260
N 0.0000 0.0000 13.7273
N 0.0000 2.0226 8.0237
```

***

7.
Diffraction record for LaGd2Ni9. The powder XRD pattern is simulated, not measured: it uses a structure optimized by DFT (GGA-PBE) and Cu Kα X-rays.

Main lines, in order of rising 2θ (10° ≤ 2θ ≤ 80°):
two_theta  intensity
33.0  44.5
36.0  81.0
42.0  34.7
42.5  100.0
44.5  22.8
46.0  31.8
62.8  13.3
64.7  20.2
68.9  11.4
69.2  31.2
71.8  7.7
76.4  19.9

Atomic structure:
```
12
Lattice="2.4946 1.4402 8.1314 -2.4946 1.4402 8.1314 0.0000 -2.8805 8.1314" Properties=species:S:1:pos:R:3 pbc="T T T"
La 0.0000 0.0000 0.0000
Gd 0.0000 0.0000 3.4049
Gd 0.0000 0.0000 20.9894
Ni -1.2504 -0.7219 10.1590
Ni 0.0000 0.0000 8.1172
Ni 0.0000 -1.4438 14.2353
Ni -1.2504 0.7219 14.2353
Ni 0.0000 0.0000 12.1972
Ni 1.2504 -0.7219 10.1590
Ni 0.0000 1.4438 10.1590
Ni 0.0000 0.0000 16.2771
Ni 1.2504 0.7219 14.2353
```

***

8.
Diffraction record for LaGdSi2Os2. The powder XRD pattern is simulated, not measured: it uses a structure optimized by DFT (GGA-PBE) and Cu Kα X-rays.

Main lines, in order of rising 2θ (10° ≤ 2θ ≤ 80°):
two_theta  intensity
12.7  78.3
24.7  40.2
32.7  100.0
33.4  31.4
38.8  25.0
39.8  91.3
42.9  55.2
55.4  14.6
59.2  29.5
62.3  18.4
72.1  20.8
76.5  27.3

Atomic structure:
```
6
Lattice="4.2159 0.0000 0.0000 0.0000 4.2159 0.0000 0.0000 0.0000 6.9609" Properties=species:S:1:pos:R:3 pbc="T T T"
La 0.0000 0.0000 0.0000
Gd 2.1080 2.1080 2.4866
Si 0.0000 0.0000 3.3937
Si 2.1080 2.1080 5.8823
Os 0.0000 2.1080 4.6322
Os 2.1080 0.0000 4.6322
```

***

Copy entry 3 word for word.
Diffraction record for KGdSiS4. The powder XRD pattern is simulated, not measured: it uses a structure optimized by DFT (GGA-PBE) and Cu Kα X-rays.

Main lines, in order of rising 2θ (10° ≤ 2θ ≤ 80°):
two_theta  intensity
10.7  100.0
17.1  17.7
19.7  38.1
20.2  17.2
26.9  21.7
30.6  26.4
32.4  32.2
33.5  22.3
34.7  18.6
35.0  18.4
39.9  21.9
43.8  16.4

Atomic structure:
```
14
Lattice="6.4549 0.0000 0.0000 0.0000 6.6313 0.0000 -2.5873 0.0000 8.2747" Properties=species:S:1:pos:R:3 pbc="T T T"
K 0.3597 0.0000 3.5965
K 3.5079 3.3156 4.6782
Gd -0.7093 6.5104 7.8618
Gd 4.5769 3.1947 0.4130
Si 1.3378 3.4414 1.4500
Si 2.5298 0.1257 6.8247
S -0.3318 3.4292 2.7366
S -1.8839 3.8028 7.7211
S 2.5362 1.6757 1.6760
S 1.0954 1.6581 6.4255
S 2.7722 4.9738 1.8492
S 1.3313 4.9913 6.5987
S 5.7514 0.4872 0.5536
S 4.1993 0.1135 5.5381
```